Structure and theoretical powder X-ray diffraction pattern of LiCa2Mn2Si5HO15 (a structure optimized by DFT (GGA+U); Cu Kα (weighted mean of Kα1 and Kα2)).

The 8 most intense peaks (15° ≤ 2θ ≤ 90°), in order of rising 2θ:
hkl 2 -1 0, d 3.243, I = 70; hkl 1 2 -2, d 3.136, I = 52; hkl -2 1 1, d 3.069, I = 39; hkl 2 1 -1, d 3.048, I = 58; hkl 0 1 -4, d 2.954, I = 100; hkl 0 2 2, d 2.774, I = 100; hkl 3 -1 0, d 2.254, I = 31; hkl 0 1 6, d 1.726, I = 31

Cell and atoms:
Cell lengths 6.9222, 7.7745, 11.8872 Å; angles 106.20, 92.21, 94.59 degrees
Space group P-1 (No. 2)
One atom of each set of equivalent atoms:
Li 0.1670 0.3445 0.3771
Ca 0.2157 0.7642 0.9769
Ca 0.3609 0.1939 0.5585
Mn 0.3227 0.9548 0.2632
Mn 0.4380 0.4076 0.8527
Si 0.0775 0.5357 0.1794
Si 0.1506 0.7209 0.4482
Si 0.2030 0.0028 0.7816
Si 0.2847 0.1927 0.0498
Si 0.3914 0.6594 0.6545
H 0.0146 0.0737 0.3806
O 0.0073 0.0004 0.2896
O 0.0445 0.2074 0.4908
O 0.0894 0.5585 0.3237
O 0.1205 0.3182 0.1228
O 0.1377 0.4588 0.8750
O 0.1619 0.0717 0.9222
O 0.2470 0.6733 0.1520
O 0.2515 0.6024 0.5288
O 0.2634 0.7928 0.7574
O 0.3094 0.8771 0.4324
O 0.3358 0.0375 0.1084
O 0.3718 0.1248 0.7416
O 0.4117 0.2287 0.3687
O 0.4303 0.4797 0.6900
O 0.4648 0.3223 0.0259